(1)
Structure and calculated X-ray diffraction stick pattern of Ho6Cu2Rh (the PBE geometry in Alexandria; Cu Kα (λ = 1.5418 Å)).

Structural model:
a = 8.2531 Å, b = 8.2531 Å, c = 8.2531 Å
α = 110.21°, β = 109.91°, γ = 108.30°
Sites, in units of the cell vectors:
Ho 0.0689 0.2442 0.8247
Ho 0.2037 0.5302 0.3264
Ho 0.2037 0.8773 0.6736
Ho 0.3149 0.2381 0.5531
Ho 0.3149 0.7619 0.0768
Ho 0.4196 0.2442 0.1753
Ho 0.5804 0.7558 0.8247
Ho 0.6851 0.2381 0.9232
Ho 0.6851 0.7619 0.4469
Ho 0.7963 0.1227 0.3264
Ho 0.7963 0.4698 0.6736
Ho 0.9311 0.7558 0.1753
Cu 0.0000 0.1222 0.1222
Cu 0.0000 0.8778 0.8778
Cu 0.1480 0.5000 0.6480
Cu 0.8520 0.5000 0.3520
Rh 0.5000 0.0000 0.5000
Rh 0.5000 0.5000 0.0000

Top 10 peaks for 10° ≤ 2θ ≤ 90°, in order of rising 2θ:
| Position (°2θ) | I/Imax |
| --- | --- |
| 26.38 | 22 |
| 29.27 | 23 |
| 29.79 | 26 |
| 29.91 | 24 |
| 32.55 | 94 |
| 35.27 | 100 |
| 35.43 | 52 |
| 37.20 | 40 |
| 59.37 | 24 |
| 60.21 | 15 |



(2)
Structure and calculated X-ray diffraction stick pattern of Ho6CuRu2 (the PBE geometry in Alexandria; Cu Kα (λ = 1.5418 Å)).

Structural model:
a = 8.3221 Å, b = 8.3221 Å, c = 8.3221 Å
α = 112.09°, β = 112.01°, γ = 104.43°
Sites, in units of the cell vectors:
Ho 0.0150 0.8301 0.1849
Ho 0.2461 0.5538 0.3077
Ho 0.2461 0.9384 0.6923
Ho 0.2755 0.3217 0.5973
Ho 0.2755 0.6783 0.9538
Ho 0.3548 0.1699 0.1849
Ho 0.6452 0.8301 0.8151
Ho 0.7245 0.3217 0.0462
Ho 0.7245 0.6783 0.4027
Ho 0.7539 0.0616 0.3077
Ho 0.7539 0.4462 0.6923
Ho 0.9850 0.1699 0.8151
Cu 0.0000 0.5000 0.5000
Cu 0.5000 0.0000 0.5000
Ru 0.0000 0.1838 0.1838
Ru 0.0000 0.8162 0.8162
Ru 0.3731 0.3731 0.0000
Ru 0.6269 0.6269 0.0000

Top 10 peaks for 10° ≤ 2θ ≤ 90°, in order of rising 2θ:
| Position (°2θ) | I/Imax |
| --- | --- |
| 25.92 | 33 |
| 30.39 | 42 |
| 32.40 | 84 |
| 34.06 | 57 |
| 35.23 | 99 |
| 35.91 | 100 |
| 38.71 | 39 |
| 39.32 | 31 |
| 40.35 | 38 |
| 60.84 | 39 |



(3)
Structure and calculated X-ray diffraction stick pattern of Ho2Cu2Ru (the PBE geometry in Alexandria; Cu Kα (λ = 1.5418 Å)).

Structural model:
a = 7.3177 Å, b = 7.3177 Å, c = 7.3177 Å
α = 131.69°, β = 70.39°, γ = 132.11°
Sites, in units of the cell vectors:
Ho 0.1439 0.2245 0.3684
Ho 0.3561 0.7245 0.0806
Ho 0.6439 0.2755 0.9194
Ho 0.8561 0.7755 0.6316
Cu 0.1187 0.7461 0.8648
Cu 0.3813 0.2461 0.6274
Cu 0.6187 0.7539 0.3726
Cu 0.8813 0.2539 0.1352
Ru 0.2500 0.7500 0.5000
Ru 0.7500 0.2500 0.5000

Top 10 peaks for 10° ≤ 2θ ≤ 90°, in order of rising 2θ:
| Position (°2θ) | I/Imax |
| --- | --- |
| 25.85 | 39 |
| 26.86 | 13 |
| 29.86 | 51 |
| 30.09 | 29 |
| 36.85 | 15 |
| 42.74 | 46 |
| 42.90 | 100 |
| 53.15 | 17 |
| 78.37 | 22 |
| 78.73 | 15 |



(4)
Structure and calculated X-ray diffraction stick pattern of Ho8CuRu2 (the PBE geometry in Alexandria; Cu Kα (λ = 1.5418 Å)).

Structural model:
a = 7.5239 Å, b = 7.5239 Å, c = 5.8307 Å
α = 99.82°, β = 99.82°, γ = 111.95°
Sites, in units of the cell vectors:
Ho 0.0000 0.0000 0.0000
Ho 0.0322 0.2961 0.5900
Ho 0.1453 0.5890 0.1948
Ho 0.2961 0.0322 0.5900
Ho 0.4462 0.7106 0.7896
Ho 0.5890 0.1453 0.1948
Ho 0.7106 0.4462 0.7896
Ho 0.7364 0.7364 0.3866
Cu 0.3671 0.3671 0.3498
Ru 0.0612 0.6831 0.6911
Ru 0.6831 0.0612 0.6911

Top 10 peaks for 10° ≤ 2θ ≤ 90°, in order of rising 2θ:
| Position (°2θ) | I/Imax |
| --- | --- |
| 27.19 | 40 |
| 30.91 | 88 |
| 31.24 | 81 |
| 31.54 | 66 |
| 32.95 | 96 |
| 33.24 | 100 |
| 35.39 | 54 |
| 36.25 | 43 |
| 36.51 | 63 |
| 39.81 | 57 |



(5)
Structure and calculated X-ray diffraction stick pattern of Ho3CuS6 (the PBE geometry in Alexandria; Cu Kα (λ = 1.5418 Å)).

Structural model:
a = 8.2396 Å, b = 8.2396 Å, c = 6.5770 Å
α = 90.00°, β = 90.00°, γ = 99.09°
Sites, in units of the cell vectors:
Ho 0.1037 0.8963 0.5000
Ho 0.2181 0.4168 0.5893
Ho 0.4168 0.2181 0.0893
Ho 0.5832 0.7819 0.5893
Ho 0.7819 0.5832 0.0893
Ho 0.8963 0.1037 0.0000
Cu 0.2973 0.7027 0.1322
Cu 0.7027 0.2973 0.6322
S 0.0686 0.5933 0.3037
S 0.1290 0.1922 0.2959
S 0.1922 0.1290 0.7959
S 0.2853 0.7147 0.7855
S 0.4067 0.9314 0.3037
S 0.4619 0.5381 0.2888
S 0.5381 0.4619 0.7888
S 0.5933 0.0686 0.8037
S 0.7147 0.2853 0.2855
S 0.8078 0.8710 0.2959
S 0.8710 0.8078 0.7959
S 0.9314 0.4067 0.8037

Top 10 peaks for 10° ≤ 2θ ≤ 90°, in order of rising 2θ:
| Position (°2θ) | I/Imax |
| --- | --- |
| 17.34 | 27 |
| 25.75 | 100 |
| 25.99 | 20 |
| 26.61 | 58 |
| 29.33 | 21 |
| 35.80 | 24 |
| 37.91 | 45 |
| 39.72 | 25 |
| 44.16 | 33 |
| 49.86 | 22 |



(6)
Structure and calculated X-ray diffraction stick pattern of HoCuSb2S5 (the PBE geometry in Alexandria; Cu Kα (λ = 1.5418 Å)).

Structural model:
a = 9.8967 Å, b = 9.8967 Å, c = 11.9707 Å
α = 90.00°, β = 90.00°, γ = 157.39°
Sites, in units of the cell vectors:
Ho 0.1995 0.8005 0.5000
Ho 0.8005 0.1995 0.0000
Cu 0.4268 0.5732 0.9434
Cu 0.5732 0.4268 0.4434
Sb 0.0775 0.9225 0.7530
Sb 0.1612 0.8388 0.1618
Sb 0.8388 0.1612 0.6618
Sb 0.9225 0.0775 0.2530
S 0.0590 0.9410 0.5471
S 0.2896 0.7104 0.1616
S 0.3202 0.6798 0.8499
S 0.3408 0.6592 0.5143
S 0.4917 0.5083 0.7805
S 0.5083 0.4917 0.2805
S 0.6592 0.3408 0.0143
S 0.6798 0.3202 0.3499
S 0.7104 0.2896 0.6616
S 0.9410 0.0590 0.0471

Top 10 peaks for 10° ≤ 2θ ≤ 90°, in order of rising 2θ:
| Position (°2θ) | I/Imax |
| --- | --- |
| 11.74 | 55 |
| 17.41 | 58 |
| 19.74 | 48 |
| 24.12 | 50 |
| 27.81 | 81 |
| 28.58 | 41 |
| 32.52 | 100 |
| 36.00 | 61 |
| 46.80 | 48 |
| 50.67 | 45 |



(7)
Structure and calculated X-ray diffraction stick pattern of Sr3Ho3CuS8 (the PBE geometry in Alexandria; Cu Kα (λ = 1.5418 Å)).

Structural model:
a = 7.9630 Å, b = 7.9630 Å, c = 8.1900 Å
α = 119.08°, β = 119.08°, γ = 60.04°
Sites, in units of the cell vectors:
Sr 0.0000 0.0000 0.0000
Sr 0.0000 0.5000 0.0000
Sr 0.5000 0.0000 0.0000
Ho 0.0000 0.5000 0.5000
Ho 0.5000 0.0000 0.5000
Ho 0.5000 0.5000 0.5000
Cu 0.0000 0.0000 0.5000
S 0.2380 0.2380 0.7170
S 0.2390 0.7399 0.7180
S 0.2574 0.2574 0.2723
S 0.2601 0.7610 0.2820
S 0.7399 0.2390 0.7180
S 0.7426 0.7426 0.7277
S 0.7610 0.2601 0.2820
S 0.7620 0.7620 0.2830

Top 10 peaks for 10° ≤ 2θ ≤ 90°, in order of rising 2θ:
| Position (°2θ) | I/Imax |
| --- | --- |
| 13.06 | 27 |
| 15.52 | 15 |
| 26.26 | 24 |
| 27.31 | 37 |
| 31.34 | 100 |
| 44.27 | 36 |
| 45.56 | 35 |
| 53.36 | 15 |
| 56.34 | 18 |
| 75.26 | 15 |



(8)
Structure and calculated X-ray diffraction stick pattern of Ho4Cu2Sb (the PBE geometry in Alexandria; Cu Kα (λ = 1.5418 Å)).

Structural model:
a = 7.6974 Å, b = 7.6974 Å, c = 7.6886 Å
α = 107.93°, β = 107.93°, γ = 112.64°
Sites, in units of the cell vectors:
Ho 0.0068 0.9932 0.5000
Ho 0.1100 0.4698 0.8731
Ho 0.3543 0.8670 0.7228
Ho 0.4586 0.5980 0.3495
Ho 0.4698 0.1100 0.3731
Ho 0.5980 0.4586 0.8495
Ho 0.8670 0.3543 0.2228
Ho 0.9932 0.0068 0.0000
Cu 0.1154 0.7311 0.2437
Cu 0.2324 0.3494 0.4785
Cu 0.3494 0.2324 0.9785
Cu 0.7311 0.1154 0.7437
Sb 0.6072 0.8574 0.1116
Sb 0.8574 0.6072 0.6116

Top 10 peaks for 10° ≤ 2θ ≤ 90°, in order of rising 2θ:
| Position (°2θ) | I/Imax |
| --- | --- |
| 28.75 | 37 |
| 31.25 | 70 |
| 31.45 | 100 |
| 33.00 | 88 |
| 37.34 | 80 |
| 37.84 | 59 |
| 49.86 | 22 |
| 51.47 | 29 |
| 52.66 | 22 |
| 53.56 | 30 |



(9)
Structure and calculated X-ray diffraction stick pattern of HoSc3Cu8 (the PBE geometry in Alexandria; Cu Kα (λ = 1.5418 Å)).

Structural model:
a = 5.1175 Å, b = 5.1175 Å, c = 8.2605 Å
α = 90.00°, β = 90.00°, γ = 120.00°
Sites, in units of the cell vectors:
Ho 0.0000 0.0000 0.0000
Sc 0.0000 0.0000 0.3934
Sc 0.6667 0.3333 0.4874
Sc 0.6667 0.3333 0.8674
Cu 0.1665 0.3330 0.6842
Cu 0.1665 0.8335 0.6842
Cu 0.3333 0.6667 0.4337
Cu 0.3333 0.6667 0.9363
Cu 0.5018 0.0036 0.1891
Cu 0.5018 0.4982 0.1891
Cu 0.6670 0.8335 0.6842
Cu 0.9964 0.4982 0.1891

Top 10 peaks for 10° ≤ 2θ ≤ 90°, in order of rising 2θ:
| Position (°2θ) | I/Imax |
| --- | --- |
| 22.77 | 24 |
| 35.07 | 28 |
| 38.49 | 63 |
| 41.52 | 100 |
| 42.22 | 83 |
| 46.51 | 20 |
| 65.19 | 24 |
| 67.31 | 22 |
| 71.19 | 27 |
| 74.11 | 23 |



(10)
Structure and calculated X-ray diffraction stick pattern of Ho2ScCu2 (the PBE geometry in Alexandria; Cu Kα (λ = 1.5418 Å)).

Structural model:
a = 3.6853 Å, b = 6.3705 Å, c = 9.4768 Å
α = 90.00°, β = 90.00°, γ = 90.00°
Sites, in units of the cell vectors:
Ho 0.0000 0.0000 0.2025
Ho 0.0000 0.0000 0.7975
Ho 0.5000 0.5000 0.2975
Ho 0.5000 0.5000 0.7025
Sc 0.0000 0.5000 0.0000
Sc 0.5000 0.0000 0.5000
Cu 0.0000 0.3019 0.5000
Cu 0.0000 0.6981 0.5000
Cu 0.5000 0.1981 0.0000
Cu 0.5000 0.8019 0.0000

Top 10 peaks for 10° ≤ 2θ ≤ 90°, in order of rising 2θ:
| Position (°2θ) | I/Imax |
| --- | --- |
| 16.77 | 13 |
| 27.99 | 40 |
| 31.61 | 21 |
| 33.89 | 100 |
| 37.50 | 25 |
| 38.55 | 24 |
| 49.51 | 26 |
| 51.88 | 14 |
| 61.34 | 13 |
| 62.33 | 21 |



(11)
Structure and calculated X-ray diffraction stick pattern of Ho4ScCu (the PBE geometry in Alexandria; Cu Kα (λ = 1.5418 Å)).

Structural model:
a = 3.4426 Å, b = 3.4426 Å, c = 13.4233 Å
α = 90.00°, β = 90.00°, γ = 90.00°
Sites, in units of the cell vectors:
Ho 0.0000 0.0000 0.1288
Ho 0.0000 0.0000 0.8712
Ho 0.5000 0.5000 0.3258
Ho 0.5000 0.5000 0.6742
Sc 0.0000 0.0000 0.5000
Cu 0.5000 0.5000 0.0000

Top 10 peaks for 10° ≤ 2θ ≤ 90°, in order of rising 2θ:
| Position (°2θ) | I/Imax |
| --- | --- |
| 26.56 | 9 |
| 26.73 | 24 |
| 32.82 | 100 |
| 36.93 | 46 |
| 50.62 | 10 |
| 53.21 | 16 |
| 55.81 | 10 |
| 60.49 | 9 |
| 61.49 | 13 |
| 63.95 | 29 |



(12)
Structure and calculated X-ray diffraction stick pattern of Ho3ScCu2 (the PBE geometry in Alexandria; Cu Kα (λ = 1.5418 Å)).

Structural model:
a = 3.5620 Å, b = 9.4059 Å, c = 8.5035 Å
α = 90.00°, β = 90.00°, γ = 90.00°
Sites, in units of the cell vectors:
Ho 0.0000 0.0807 0.0000
Ho 0.0000 0.2879 0.3384
Ho 0.0000 0.7121 0.8384
Ho 0.0000 0.9193 0.5000
Ho 0.5000 0.2216 0.6758
Ho 0.5000 0.7784 0.1758
Sc 0.5000 0.4292 0.0105
Sc 0.5000 0.5708 0.5105
Cu 0.0000 0.4383 0.7258
Cu 0.0000 0.5617 0.2258
Cu 0.5000 0.0673 0.2825
Cu 0.5000 0.9327 0.7825

Top 10 peaks for 10° ≤ 2θ ≤ 90°, in order of rising 2θ:
| Position (°2θ) | I/Imax |
| --- | --- |
| 28.78 | 59 |
| 30.39 | 49 |
| 32.80 | 30 |
| 33.01 | 79 |
| 33.27 | 52 |
| 34.20 | 83 |
| 38.11 | 44 |
| 39.75 | 100 |
| 51.29 | 34 |
| 62.36 | 25 |



(13)
Structure and calculated X-ray diffraction stick pattern of Ho2Cu4Se5 (the PBE geometry in Alexandria; Cu Kα (λ = 1.5418 Å)).

Structural model:
a = 16.7581 Å, b = 16.7581 Å, c = 16.7581 Å
α = 13.73°, β = 13.73°, γ = 13.73°
Sites, in units of the cell vectors:
Ho 0.1325 0.1325 0.1325
Ho 0.8675 0.8675 0.8675
Cu 0.3139 0.3139 0.3139
Cu 0.4146 0.4146 0.4146
Cu 0.5854 0.5854 0.5854
Cu 0.6861 0.6861 0.6861
Se 0.2351 0.2351 0.2351
Se 0.3664 0.3664 0.3664
Se 0.5000 0.5000 0.5000
Se 0.6336 0.6336 0.6336
Se 0.7649 0.7649 0.7649

Top 10 peaks for 10° ≤ 2θ ≤ 90°, in order of rising 2θ:
| Position (°2θ) | I/Imax |
| --- | --- |
| 26.67 | 44 |
| 29.48 | 65 |
| 32.36 | 20 |
| 32.52 | 100 |
| 38.88 | 35 |
| 45.27 | 98 |
| 47.99 | 52 |
| 56.79 | 44 |
| 68.10 | 18 |
| 85.60 | 19 |